Starting from a structure optimized by DFT (PBE), the XRD peak list of Ho2NiIr was calculated for Cu Kα, 1.54184 Å.
Peak positions follow from Bragg's law for the DFT cell and can differ from measured ones.

Peak list (10 most intense, 2θ from 5° to 70°, low angle first)
Position (°2θ)  d [Å]  Rel. int.
29.62  3.016  50
33.03  2.712  92
34.93  2.569  73
36.94  2.433  93
41.26  2.188  100
41.37  2.182  39
43.31  2.089  49
54.07  1.696  24
56.80  1.621  37
61.44  1.509  25

Cell and atoms:
```
Ho2NiIr
1.0
4.1785 0.0000 0.0000
0.0000 5.5071 0.0000
0.0000 0.0000 7.1308
Ho Ni Ir
4 2 2
Direct
0.0000 0.1168 0.0000
0.0000 0.8832 0.5000
0.5000 0.3823 0.3574
0.5000 0.6177 0.8574
0.0000 0.3865 0.6410
0.0000 0.6135 0.1410
0.5000 0.1174 0.7176
0.5000 0.8826 0.2176
```

---

Starting from a structure optimized by DFT (PBE), the XRD peak list of Ho2TmNiSn3Ir2 was calculated for Cu Kα, 1.54184 Å.
Peak positions follow from Bragg's law for the DFT cell and can differ from measured ones.

Peak list (10 most intense, 2θ from 5° to 70°, low angle first)
Position (°2θ)  d [Å]  Rel. int.
33.80  2.652  100
36.30  2.475  47
36.56  2.458  72
41.37  2.183  39
43.94  2.061  20
48.95  1.861  20
50.24  1.816  13
62.44  1.487  20
65.97  1.416  20
67.21  1.393  27

Cell and atoms:
```
Ho2TmNiSn3Ir2
1.0
3.7215 0.0000 0.0000
0.0000 6.5429 3.7832
0.0000 -6.5429 3.7832
Ho Tm Ni Sn Ir
2 1 1 3 2
Direct
0.0000 0.2032 0.7968
0.0000 0.7968 0.2032
0.0000 0.3905 0.3905
0.0000 0.7960 0.7960
0.5000 0.0540 0.0540
0.5000 0.5397 0.7962
0.5000 0.7962 0.5397
0.5000 0.1318 0.4629
0.5000 0.4629 0.1318
```

---

Starting from a structure optimized by DFT (PBE), the XRD peak list of HoIr3Os was calculated for Cu Kα, 1.54184 Å.
Peak positions follow from Bragg's law for the DFT cell and can differ from measured ones.

Peak list (10 most intense, 2θ from 5° to 70°, low angle first)
Position (°2θ)  d [Å]  Rel. int.
22.15  4.013  10
32.17  2.782  15
33.30  2.690  100
41.40  2.181  24
41.65  2.168  12
44.10  2.054  31
45.19  2.006  32
47.44  1.916  40
62.94  1.477  14
64.99  1.435  22

Cell and atoms:
```
HoIr3Os
1.0
2.0535 -11.5835 0.0000
2.0535 11.5835 0.0000
0.0000 0.0000 4.0127
Ho Ir Os
2 6 2
Direct
0.1683 0.8317 0.0000
0.8317 0.1683 0.0000
0.0560 0.9440 0.5000
0.2803 0.7197 0.5000
0.4443 0.5557 0.0000
0.5557 0.4443 0.0000
0.7197 0.2803 0.5000
0.9440 0.0560 0.5000
0.3829 0.6171 0.5000
0.6171 0.3829 0.5000
```

---

Starting from a structure optimized by DFT (PBE), the XRD peak list of HoSiIr was calculated for Cu Kα, 1.54184 Å.
Peak positions follow from Bragg's law for the DFT cell and can differ from measured ones.

Peak list (10 most intense, 2θ from 5° to 70°, low angle first)
Position (°2θ)  d [Å]  Rel. int.
27.56  3.236  66
33.71  2.659  34
34.74  2.582  100
35.70  2.515  32
35.88  2.503  87
41.44  2.179  47
42.33  2.135  51
42.78  2.114  50
61.08  1.517  30
68.93  1.362  47

Cell and atoms:
```
HoSiIr
1.0
6.8388 0.0000 0.0000
0.0000 4.2274 0.0000
0.0000 0.0000 7.4223
Ho Si Ir
4 4 4
Direct
0.0014 0.2500 0.1873
0.4986 0.7500 0.6873
0.5014 0.2500 0.3127
0.9986 0.7500 0.8127
0.2026 0.7500 0.3906
0.2974 0.2500 0.8906
0.7026 0.7500 0.1094
0.7974 0.2500 0.6094
0.1573 0.2500 0.5676
0.3427 0.7500 0.0676
0.6573 0.2500 0.9324
0.8427 0.7500 0.4324
```

---

Starting from a structure optimized by DFT (PBE), the XRD peak list of YHoSi2Ir was calculated for Cu Kα, 1.54184 Å.
Peak positions follow from Bragg's law for the DFT cell and can differ from measured ones.

Peak list (10 most intense, 2θ from 5° to 70°, low angle first)
Position (°2θ)  d [Å]  Rel. int.
19.25  4.612  47
27.44  3.251  76
33.47  2.677  100
34.00  2.637  69
35.45  2.532  43
37.33  2.409  27
40.21  2.243  24
41.11  2.195  69
42.64  2.121  45
56.61  1.626  23

Cell and atoms:
```
YHoSi2Ir
1.0
5.2049 -2.1206 0.0000
5.2049 2.1206 0.0000
-4.6938 0.0000 8.9715
Y Ho Si Ir
2 2 4 2
Direct
0.0047 0.0047 0.3265
0.9953 0.9953 0.6735
0.1901 0.1901 0.1135
0.8099 0.8099 0.8865
0.3521 0.3521 0.4447
0.4873 0.4873 0.1149
0.5127 0.5127 0.8851
0.6479 0.6479 0.5553
0.2721 0.2721 0.6579
0.7279 0.7279 0.3421
```

---

Starting from a structure optimized by DFT (PBE), the XRD peak list of Ho3Te5Ir was calculated for Cu Kα, 1.54184 Å.
Peak positions follow from Bragg's law for the DFT cell and can differ from measured ones.

Peak list (10 most intense, 2θ from 5° to 70°, low angle first)
Position (°2θ)  d [Å]  Rel. int.
11.98  7.390  52
24.68  3.608  17
30.10  2.969  100
32.50  2.755  31
36.47  2.463  70
38.91  2.314  72
43.80  2.067  23
49.32  1.848  13
58.27  1.583  36
58.87  1.569  24

Cell and atoms:
```
Ho3Te5Ir
1.0
8.5336 0.0000 0.0000
-4.2668 7.3903 0.0000
0.0000 0.0000 4.1337
Ho Te Ir
3 5 1
Direct
0.0000 0.2633 0.0000
0.2633 0.0000 0.0000
0.7367 0.7367 0.0000
0.0000 0.6915 0.5000
0.3085 0.3085 0.5000
0.3333 0.6667 0.0000
0.6667 0.3333 0.0000
0.6915 0.0000 0.5000
0.0000 0.0000 0.5000
```

---

Starting from a structure optimized by DFT (PBE), the XRD peak list of Ho3Tm3Te2Ir was calculated for Cu Kα, 1.54184 Å.
Peak positions follow from Bragg's law for the DFT cell and can differ from measured ones.

Peak list (10 most intense, 2θ from 5° to 70°, low angle first)
Position (°2θ)  d [Å]  Rel. int.
12.33  7.177  19
31.30  2.858  100
33.02  2.713  56
33.76  2.655  86
37.60  2.392  48
40.34  2.236  48
45.99  1.973  24
57.78  1.596  23
60.85  1.522  24
60.97  1.520  38

Cell and atoms:
```
Ho3Tm3Te2Ir
1.0
8.2875 0.0000 0.0000
-4.1438 7.1772 0.0000
0.0000 0.0000 3.9467
Ho Tm Te Ir
3 3 2 1
Direct
0.0000 0.2434 0.0000
0.2434 0.0000 0.0000
0.7566 0.7566 0.0000
0.0000 0.6073 0.5000
0.3927 0.3927 0.5000
0.6073 0.0000 0.5000
0.3333 0.6667 0.0000
0.6667 0.3333 0.0000
0.0000 0.0000 0.5000
```

---

Starting from a structure optimized by DFT (PBE), the XRD peak list of KYHoNi2 was calculated for Cu Kα, 1.54184 Å.
Peak positions follow from Bragg's law for the DFT cell and can differ from measured ones.

Peak list (10 most intense, 2θ from 5° to 70°, low angle first)
Position (°2θ)  d [Å]  Rel. int.
10.04  8.813  100
26.83  3.323  19
30.43  2.938  15
31.61  2.830  16
33.30  2.690  23
36.37  2.470  40
41.93  2.155  28
45.00  2.015  10
49.36  1.846  9
51.91  1.761  11

Cell and atoms:
```
KYHoNi2
1.0
3.6922 0.0000 0.0000
0.0000 2.0146 8.8133
0.0000 -2.0146 8.8133
K Y Ho Ni
1 1 1 2
Direct
0.0000 0.0000 0.0000
0.5000 0.6692 0.6692
0.5000 0.3318 0.3318
0.0000 0.2105 0.2105
0.0000 0.7959 0.7959
```

---

Starting from a structure optimized by DFT (PBE), the XRD peak list of K2Ho2O5 was calculated for Cu Kα, 1.54184 Å.
Peak positions follow from Bragg's law for the DFT cell and can differ from measured ones.

Peak list (10 most intense, 2θ from 5° to 70°, low angle first)
Position (°2θ)  d [Å]  Rel. int.
19.57  4.537  33
20.91  4.248  50
28.79  3.101  100
29.74  3.004  40
39.73  2.269  13
42.57  2.124  28
47.25  1.924  13
50.41  1.810  19
52.20  1.752  38
59.63  1.550  14

Cell and atoms:
```
K2Ho2O5
1.0
4.2478 0.0000 0.0000
0.0000 4.2478 0.0000
0.0000 0.0000 9.0741
K Ho O
2 2 5
Direct
0.0000 0.0000 0.0000
0.0000 0.0000 0.5000
0.5000 0.5000 0.2321
0.5000 0.5000 0.7679
0.0000 0.5000 0.2942
0.0000 0.5000 0.7058
0.5000 0.0000 0.2942
0.5000 0.0000 0.7058
0.5000 0.5000 0.0000
```

---

Starting from a structure optimized by DFT (PBE), the XRD peak list of K3HoP2O8 was calculated for Cu Kα, 1.54184 Å.
Peak positions follow from Bragg's law for the DFT cell and can differ from measured ones.

Peak list (10 most intense, 2θ from 5° to 70°, low angle first)
Position (°2θ)  d [Å]  Rel. int.
12.08  7.325  100
18.53  4.789  43
22.11  4.020  20
22.25  3.996  51
22.50  3.952  20
30.63  2.919  35
30.85  2.899  98
32.06  2.792  55
33.03  2.712  63
45.37  1.999  24

Cell and atoms:
```
K3HoP2O8
1.0
7.3258 0.0000 0.0000
0.0000 5.5840 0.0000
-0.1204 0.0000 9.3085
K Ho P O
6 2 4 16
Direct
0.0039 0.2500 0.1923
0.1337 0.7500 0.4113
0.2956 0.2500 0.9191
0.7044 0.7500 0.0809
0.8663 0.2500 0.5887
0.9961 0.7500 0.8077
0.4932 0.7500 0.7105
0.5068 0.2500 0.2895
0.2707 0.7500 0.0898
0.3140 0.2500 0.5731
0.6860 0.7500 0.4269
0.7293 0.2500 0.9102
0.0623 0.7500 0.1033
0.2155 0.2500 0.4238
0.2604 0.0235 0.6604
0.2604 0.4765 0.6604
0.3289 0.7500 0.9298
0.3502 0.5237 0.1656
0.3502 0.9763 0.1656
0.4799 0.7500 0.4589
0.5201 0.2500 0.5411
0.6498 0.0237 0.8344
0.6498 0.4763 0.8344
0.6711 0.2500 0.0702
0.7396 0.5235 0.3396
0.7396 0.9765 0.3396
0.7845 0.7500 0.5762
0.9377 0.2500 0.8967
```

---

Starting from a structure optimized by DFT (PBE), the XRD peak list of KHoSO was calculated for Cu Kα, 1.54184 Å.
Peak positions follow from Bragg's law for the DFT cell and can differ from measured ones.

Peak list (10 most intense, 2θ from 5° to 70°, low angle first)
Position (°2θ)  d [Å]  Rel. int.
8.22  10.757  100
25.48  3.496  46
30.50  2.931  50
32.70  2.738  36
36.87  2.438  24
45.29  2.002  18
52.68  1.737  13
53.49  1.713  12
55.59  1.653  18
59.77  1.547  12

Cell and atoms:
```
KHoSO
1.0
5.6628 0.0000 0.0000
0.0000 5.6630 0.0000
-2.8501 0.0000 10.7573
K Ho S O
4 4 4 4
Direct
0.0546 0.0000 0.1033
0.4436 0.9954 0.8964
0.5564 0.4954 0.1036
0.9454 0.5000 0.8967
0.0481 0.2427 0.5969
0.4522 0.2424 0.4031
0.5478 0.7424 0.5969
0.9519 0.7427 0.4031
0.1121 0.4998 0.2123
0.3890 0.4969 0.7876
0.6110 0.9969 0.2124
0.8879 0.9998 0.7877
0.2502 0.4916 0.5003
0.2500 0.9918 0.5000
0.7500 0.4918 0.5000
0.7498 0.9916 0.4997
```

---

Starting from a structure optimized by DFT (PBE), the XRD peak list of KHoSeO was calculated for Cu Kα, 1.54184 Å.
Peak positions follow from Bragg's law for the DFT cell and can differ from measured ones.

Peak list (10 most intense, 2θ from 5° to 70°, low angle first)
Position (°2θ)  d [Å]  Rel. int.
11.59  7.634  100
23.32  3.815  18
27.47  3.247  19
28.11  3.174  17
29.21  3.057  55
32.71  2.738  42
34.74  2.582  30
37.33  2.409  15
38.62  2.331  29
48.92  1.862  12

Cell and atoms:
```
KHoSeO
1.0
7.8014 0.0000 0.0000
0.0000 7.3748 0.0000
-1.3368 0.0000 6.3497
K Ho Se O
4 4 4 4
Direct
0.0900 0.2243 0.4896
0.0900 0.2757 0.9896
0.9100 0.7243 0.0104
0.9100 0.7757 0.5104
0.4751 0.6272 0.7774
0.4751 0.8728 0.2774
0.5249 0.1272 0.7226
0.5249 0.3728 0.2226
0.2429 0.5896 0.3564
0.2429 0.9104 0.8564
0.7571 0.0896 0.1436
0.7571 0.4104 0.6436
0.4061 0.1488 0.3828
0.4061 0.3512 0.8828
0.5939 0.6488 0.1172
0.5939 0.8512 0.6172
```

---

Starting from a structure optimized by DFT (PBE), the XRD peak list of KHoTeO was calculated for Cu Kα, 1.54184 Å.
Peak positions follow from Bragg's law for the DFT cell and can differ from measured ones.

Peak list (10 most intense, 2θ from 5° to 70°, low angle first)
Position (°2θ)  d [Å]  Rel. int.
10.26  8.625  100
26.51  3.363  20
28.47  3.135  12
29.09  3.069  75
29.96  2.982  43
31.11  2.875  19
32.63  2.745  15
33.92  2.643  20
35.51  2.528  34
48.21  1.888  15

Cell and atoms:
```
KHoTeO
1.0
8.6638 0.0000 0.0000
0.0000 7.4047 0.0000
-0.6246 0.0000 6.5834
K Ho Te O
4 4 4 4
Direct
0.1235 0.1258 0.3610
0.1235 0.3742 0.8610
0.8765 0.6258 0.1390
0.8765 0.8742 0.6390
0.4880 0.6333 0.7900
0.4880 0.8667 0.2900
0.5120 0.1333 0.7100
0.5120 0.3667 0.2100
0.2382 0.5796 0.3979
0.2382 0.9204 0.8979
0.7618 0.0796 0.1021
0.7618 0.4204 0.6021
0.4269 0.1435 0.3926
0.4269 0.3565 0.8926
0.5731 0.6435 0.1074
0.5731 0.8565 0.6074
```